[1]
For CePm4Sb5, DFT lattice parameters and positions (GGA-PBE) gives the computed powder diffraction line list in this record (Cu Kα, 1.54184 Å).
Neutral-atom scattering factors, no anomalous dispersion.

Structural model:
a = 4.494 Å, b = 6.351 Å, c = 22.469 Å
α = 90.00°, β = 90.00°, γ = 90.00°
Space group Immm (No. 71)
Asymmetric unit:
Ce (0.000, 0.000, 0.000) (multiplicity 2)
Pm (0.000, 0.000, 0.201) (multiplicity 4)
Pm (0.000, 0.000, 0.399) (multiplicity 4)
Sb (0.000, 0.500, 0.000) (multiplicity 2)
Sb (0.000, 0.500, 0.200) (multiplicity 4)
Sb (0.000, 0.500, 0.401) (multiplicity 4)

Principal peaks in the range 10° ≤ 2θ ≤ 90°, most intense first:
two_theta, Rel. int., index
28.09, 100, 1 0 5
40.14, 76, 2 0 0
65.72, 35, 3 0 5
49.71, 27, 2 2 0
72.94, 26, 3 2 5
58.07, 13, 2 0 10
86.68, 8, 4 0 0
24.26, 2, 1 1 0
47.46, 1, 2 1 5


[2]
For BaNaSrHg, DFT lattice parameters and positions (GGA-PBE) gives the computed powder diffraction line list in this record (Cu Kα, 1.54184 Å).
Neutral-atom scattering factors, no anomalous dispersion.

Structural model:
a = 4.136 Å, b = 4.136 Å, c = 9.566 Å
α = 90.00°, β = 90.00°, γ = 90.00°
Space group P4mm (No. 99)
Asymmetric unit:
Ba (0.000, 0.000, 0.000) (multiplicity 1)
Na (0.500, 0.500, 0.305) (multiplicity 1)
Sr (0.000, 0.000, 0.586) (multiplicity 1)
Hg (0.500, 0.500, 0.780) (multiplicity 1)

Principal peaks in the range 10° ≤ 2θ ≤ 90°, most intense first:
two_theta, Rel. int., index
28.53, 100, 1 0 2
30.57, 49, 1 1 0
35.55, 36, 1 0 3
53.08, 36, 2 1 2
57.59, 30, 1 1 5
32.00, 24, 1 1 1
43.77, 21, 2 0 0
23.43, 16, 1 0 1
49.22, 14, 1 1 4
44.84, 10, 2 0 1


[3]
For Ti3AsO, DFT lattice parameters and positions (GGA-PBE) gives the computed powder diffraction line list in this record (Cu Kα, 1.54184 Å).
Neutral-atom scattering factors, no anomalous dispersion.

Structural model:
a = 5.503 Å, b = 12.213 Å, c = 4.128 Å
α = 90.00°, β = 90.00°, γ = 90.00°
Space group Cmmm (No. 65)
Asymmetric unit:
Ti (0.000, 0.146, 0.000) (multiplicity 4)
Ti (0.246, 0.500, 0.500) (multiplicity 4)
Ti (0.250, 0.250, 0.500) (multiplicity 4)
As (0.000, 0.368, 0.000) (multiplicity 4)
O (0.000, 0.122, 0.500) (multiplicity 4)

Principal peaks in the range 10° ≤ 2θ ≤ 90°, most intense first:
two_theta, Rel. int., index
36.61, 100, 0 4 1
39.35, 88, 2 0 1
44.32, 76, 2 4 0
64.12, 46, 2 4 2
43.86, 42, 0 0 2
79.94, 19, 4 4 1
74.74, 18, 2 8 1
75.82, 13, 0 4 3
27.99, 13, 1 1 1
60.66, 11, 0 8 0


[4]
For Nd2HfNiS5, DFT lattice parameters and positions (GGA-PBE) gives the computed powder diffraction line list in this record (Cu Kα, 1.54184 Å).
Neutral-atom scattering factors, no anomalous dispersion.

Structural model:
a = 3.790 Å, b = 16.617 Å, c = 11.476 Å
α = 90.00°, β = 90.00°, γ = 90.00°
Space group Cmc2_1 (No. 36)
Asymmetric unit:
Nd (0.000, 0.111, 0.000) (multiplicity 4)
Nd (0.000, 0.123, 0.626) (multiplicity 4)
Hf (0.000, 0.185, 0.318) (multiplicity 4)
Ni (0.000, 0.428, 0.745) (multiplicity 4)
S (0.000, 0.040, 0.349) (multiplicity 4)
S (0.000, 0.292, 0.974) (multiplicity 4)
S (0.000, 0.306, 0.665) (multiplicity 4)
S (0.000, 0.347, 0.315) (multiplicity 4)
S (0.000, 0.498, 0.082) (multiplicity 4)

Principal peaks in the range 10° ≤ 2θ ≤ 90°, most intense first:
two_theta, Rel. int., index
33.72, 100, 1 1 3
25.64, 68, 0 2 3
39.33, 61, 1 5 2
28.54, 31, 1 3 0
33.28, 29, 0 6 1
21.39, 28, 0 4 0
48.00, 28, 2 0 0
24.08, 21, 1 1 0
45.79, 20, 1 7 1
46.50, 20, 0 8 2


[5]
For Nd4Zn3Au5, DFT lattice parameters and positions (GGA-PBE) gives the computed powder diffraction line list in this record (Cu Kα, 1.54184 Å).
Neutral-atom scattering factors, no anomalous dispersion.

Structural model:
a = 7.113 Å, b = 4.649 Å, c = 8.153 Å
α = 90.00°, β = 90.16°, γ = 90.00°
Space group Pm (No. 6)
Asymmetric unit:
Nd (0.000, 0.000, 0.000) (multiplicity 1)
Nd (0.005, 0.500, 0.552) (multiplicity 1)
Nd (0.495, 0.000, 0.059) (multiplicity 1)
Nd (0.506, 0.500, 0.492) (multiplicity 1)
Zn (0.306, 0.000, 0.698) (multiplicity 1)
Zn (0.707, 0.500, 0.857) (multiplicity 1)
Zn (0.794, 0.000, 0.358) (multiplicity 1)
Au (0.220, 0.500, 0.187) (multiplicity 1)
Au (0.226, 0.000, 0.382) (multiplicity 1)
Au (0.285, 0.500, 0.846) (multiplicity 1)
Au (0.728, 0.000, 0.689) (multiplicity 1)
Au (0.773, 0.500, 0.188) (multiplicity 1)

Principal peaks in the range 10° ≤ 2θ ≤ 90°, most intense first:
two_theta, Rel. int., index
33.58, 100, 2 1 1
38.37, 73, 0 1 3
38.74, 44, 0 2 0
33.43, 42, 2 0 -2
52.08, 24, 2 2 -2
25.36, 16, 1 1 1
31.76, 15, 1 1 -2
66.15, 14, 4 2 0
66.85, 14, 2 3 1
69.87, 13, 0 3 3


[6]
For CsAcAgTe2, DFT lattice parameters and positions (GGA-PBE) gives the computed powder diffraction line list in this record (Cu Kα, 1.54184 Å).
Neutral-atom scattering factors, no anomalous dispersion.

Structural model:
a = 9.057 Å, b = 5.079 Å, c = 9.652 Å
α = 90.00°, β = 96.31°, γ = 90.00°
Space group P2/c (No. 13)
Asymmetric unit:
Cs (0.000, 0.115, 0.250) (multiplicity 2)
Ac (0.500, 0.494, 0.750) (multiplicity 2)
Ag (0.500, 0.000, 0.000) (multiplicity 2)
Te (0.263, 0.362, 0.977) (multiplicity 4)

Principal peaks in the range 10° ≤ 2θ ≤ 90°, most intense first:
two_theta, Rel. int., index
28.17, 100, 1 1 2
26.66, 74, 1 1 -2
25.60, 66, 2 0 -2
22.58, 66, 1 1 1
33.73, 65, 2 1 2
20.06, 57, 1 1 0
37.96, 55, 3 1 -2
28.65, 52, 2 0 2
31.16, 52, 2 1 -2
37.50, 49, 0 0 4


[7]
For LiCdSe2, DFT lattice parameters and positions (GGA-PBE) gives the computed powder diffraction line list in this record (Cu Kα, 1.54184 Å).
Neutral-atom scattering factors, no anomalous dispersion.

Structural model:
a = 6.221 Å, b = 6.221 Å, c = 11.039 Å
α = 90.00°, β = 90.00°, γ = 90.00°
Space group I-42d (No. 122)
Asymmetric unit:
Li (0.000, 0.000, 0.000) (multiplicity 4)
Cd (0.000, 0.000, 0.500) (multiplicity 4)
Se (0.235, 0.250, 0.125) (multiplicity 8)

Principal peaks in the range 10° ≤ 2θ ≤ 90°, most intense first:
two_theta, Rel. int., index
25.90, 100, 1 1 2
43.86, 46, 2 0 4
16.36, 36, 1 0 1
49.17, 33, 3 1 2
41.04, 28, 2 2 0
33.21, 19, 2 1 1
76.72, 16, 4 2 4
28.18, 15, 1 0 3
54.03, 13, 1 1 6
70.02, 11, 3 1 6


[8]
For Al3Pd2, DFT lattice parameters and positions (GGA-PBE) gives the computed powder diffraction line list in this record (Cu Kα, 1.54184 Å).
Neutral-atom scattering factors, no anomalous dispersion.

Structural model:
a = 4.2492 Å, b = 4.2492 Å, c = 5.1949 Å
α = 90.00°, β = 90.00°, γ = 120.00°
Space group P-3m1 (No. 164)
Asymmetric unit:
Al (0.0000, 0.0000, 0.0000) (multiplicity 1)
Al (0.3333, 0.6667, 0.6452) (multiplicity 2)
Pd (0.3333, 0.6667, 0.1582) (multiplicity 2)

Principal peaks in the range 10° ≤ 2θ ≤ 90°, most intense first:
two_theta, Rel. int., index
42.58, 100, 1 1 0
29.75, 41, 1 0 1
24.19, 28, 1 0 0
77.90, 25, 3 0 0
17.07, 23, 0 0 1
61.79, 18, 2 0 2
70.06, 11, 1 1 3
46.16, 10, 1 1 1
52.80, 10, 0 0 3
78.02, 7, 1 0 4


[9]
For Ba3Na11, DFT lattice parameters and positions (GGA-PBE) gives the computed powder diffraction line list in this record (Cu Kα, 1.54184 Å).
Neutral-atom scattering factors, no anomalous dispersion.

Structural model:
a = 5.927 Å, b = 12.361 Å, c = 16.694 Å
α = 90.00°, β = 90.00°, γ = 90.00°
Space group Immm (No. 71)
Asymmetric unit:
Ba (0.000, 0.000, 0.000) (multiplicity 2)
Ba (0.000, 0.000, 0.290) (multiplicity 4)
Na (0.000, 0.174, 0.500) (multiplicity 4)
Na (0.000, 0.284, 0.140) (multiplicity 8)
Na (0.000, 0.361, 0.345) (multiplicity 8)
Na (0.000, 0.500, 0.000) (multiplicity 2)

Principal peaks in the range 10° ≤ 2θ ≤ 90°, most intense first:
two_theta, Rel. int., index
26.30, 100, 1 3 0
16.59, 48, 1 1 0
27.11, 35, 1 1 4
14.33, 28, 0 2 0
30.16, 27, 2 0 0
50.77, 25, 1 4 7
21.91, 24, 1 0 3
25.76, 24, 0 2 4
17.48, 22, 0 1 3
26.92, 22, 0 3 3


[10]
For SmZn9Co2, DFT lattice parameters and positions (GGA-PBE) gives the computed powder diffraction line list in this record (Cu Kα, 1.54184 Å).
Neutral-atom scattering factors, no anomalous dispersion.

Structural model:
a = 10.360 Å, b = 10.360 Å, c = 6.785 Å
α = 90.00°, β = 90.00°, γ = 90.00°
Space group I4_1/amd (No. 141, origin choice 2)
Asymmetric unit:
Sm (0.000, 0.250, 0.375) (multiplicity 4)
Zn (0.000, 0.250, 0.875) (multiplicity 4)
Zn (0.122, 0.046, 0.688) (multiplicity 32)
Co (0.000, 0.000, 0.000) (multiplicity 8)

Principal peaks in the range 10° ≤ 2θ ≤ 90°, most intense first:
two_theta, Rel. int., index
38.19, 100, 3 1 2
38.88, 70, 4 2 0
45.79, 47, 5 0 1
33.88, 33, 3 2 1
40.84, 32, 1 0 3
47.53, 30, 4 2 2
69.94, 27, 5 5 2
29.01, 24, 1 1 2
58.66, 20, 5 3 2
43.98, 18, 4 0 2